Entry 1:
# TmH12Rh5
Computed powder X-ray diffraction pattern, Cu Kα X-rays. Input: a crystal structure in Alexandria, relaxed with GGA-PBE.

Cell and atoms:
Lattice parameters (Å, degrees): 4.827 5.108 6.836 105.83 91.82 113.80
Element x y z (fractional)
Tm1 0.000 0.000 0.000
H1 0.084 0.865 0.289
H2 0.144 0.330 0.571
H3 0.160 0.803 0.717
H4 0.210 0.544 0.110
H5 0.452 0.817 0.483
H6 0.455 0.270 0.229
H7 0.545 0.730 0.771
H8 0.548 0.183 0.517
H9 0.790 0.456 0.890
H10 0.840 0.197 0.283
H11 0.856 0.670 0.429
H12 0.916 0.135 0.711
Rh1 0.175 0.492 0.829
Rh2 0.478 0.935 0.250
Rh3 0.500 0.500 0.500
Rh4 0.522 0.065 0.750
Rh5 0.825 0.508 0.171

Most intense lines, 10° ≤ 2θ ≤ 90°, low angle first:
d/Å  2theta  Rel. int.
6.491  13.6  53.0
3.376  26.4  100.0
2.738  32.7  36.5
2.510  35.8  82.1
2.407  37.4  31.6
2.393  37.6  87.0
2.380  37.8  79.4
2.263  39.8  40.9
2.240  40.3  49.4
2.220  40.6  58.5

=====

Entry 2:
# K3Ag2Au
Computed powder X-ray diffraction pattern, Cu Kα X-rays. Input: a crystal structure in Alexandria, relaxed with GGA-PBE.

Cell and atoms:
Lattice parameters (Å, degrees): 13.352 4.862 13.352 90.00 90.00 90.00
Element x y z (fractional)
K1 0.052 0.250 0.120
K2 0.115 0.750 0.551
K3 0.216 0.250 0.791
K4 0.284 0.750 0.291
K5 0.385 0.250 0.051
K6 0.448 0.750 0.620
K7 0.552 0.250 0.380
K8 0.615 0.750 0.949
K9 0.716 0.250 0.709
K10 0.784 0.750 0.209
K11 0.885 0.250 0.449
K12 0.948 0.750 0.880
Ag1 0.029 0.750 0.311
Ag2 0.206 0.750 0.989
Ag3 0.294 0.250 0.489
Ag4 0.471 0.250 0.811
Ag5 0.529 0.750 0.189
Ag6 0.706 0.750 0.511
Ag7 0.794 0.250 0.011
Ag8 0.971 0.250 0.689
Au1 0.123 0.250 0.364
Au2 0.377 0.750 0.864
Au3 0.623 0.250 0.136
Au4 0.877 0.750 0.636

Most intense lines, 10° ≤ 2θ ≤ 90°, low angle first:
d/Å  2theta  Rel. int.
5.971  14.8  100.0
4.721  18.8  20.1
4.323  20.5  38.2
4.222  21.0  35.0
3.283  27.2  35.5
2.946  30.3  40.7
2.695  33.2  40.2
2.544  35.3  50.7
2.431  37.0  31.1
2.072  43.7  21.9

=====

Entry 3:
# Li2Ca2LaTl2
Computed powder X-ray diffraction pattern, Cu Kα X-rays. Input: a crystal structure in Alexandria, relaxed with GGA-PBE.

Cell and atoms:
Lattice parameters (Å, degrees): 9.660 9.660 9.660 30.24 30.24 30.24
Element x y z (fractional)
Li1 0.102 0.102 0.102
Li2 0.898 0.898 0.898
Ca1 0.373 0.373 0.373
Ca2 0.627 0.627 0.627
La1 0.500 0.500 0.500
Tl1 0.236 0.236 0.236
Tl2 0.764 0.764 0.764

Most intense lines, 10° ≤ 2θ ≤ 90°, low angle first:
d/Å  2theta  Rel. int.
4.161  21.4  50.1
3.690  24.1  100.0
2.928  30.5  63.9
2.709  33.1  72.3
2.520  35.6  86.0
2.177  41.5  25.9
1.910  47.6  25.9
1.844  49.4  33.8
1.522  60.9  23.6
1.488  62.4  54.4

=====

Entry 4:
# Mg7Si2H6O14
Computed powder X-ray diffraction pattern, Cu Kα X-rays. Input: a crystal structure in Alexandria, relaxed with GGA-PBE.

Cell and atoms:
Lattice parameters (Å, degrees): 7.948 7.948 9.664 90.00 90.00 120.00
Element x y z (fractional)
Mg1 0.019 0.244 0.000
Mg2 0.083 0.454 0.725
Mg3 0.225 0.981 0.000
Mg4 0.244 0.225 0.500
Mg5 0.333 0.667 0.011
Mg6 0.370 0.917 0.725
Mg7 0.454 0.370 0.225
Mg8 0.546 0.630 0.725
Mg9 0.630 0.083 0.225
Mg10 0.667 0.333 0.511
Mg11 0.756 0.775 0.000
Mg12 0.775 0.019 0.500
Mg13 0.917 0.546 0.225
Mg14 0.981 0.756 0.500
Si1 0.000 0.000 0.210
Si2 0.000 0.000 0.710
Si3 0.333 0.667 0.438
Si4 0.667 0.333 0.938
H1 0.030 0.680 0.874
H2 0.166 0.457 0.208
H3 0.291 0.834 0.208
H4 0.320 0.350 0.874
H5 0.350 0.030 0.374
H6 0.457 0.291 0.708
H7 0.543 0.709 0.208
H8 0.650 0.970 0.874
H9 0.680 0.650 0.374
H10 0.709 0.166 0.708
H11 0.834 0.543 0.708
H12 0.970 0.320 0.374
O1 0.000 0.000 0.380
O2 0.000 0.000 0.880
O3 0.028 0.200 0.635
O4 0.098 0.476 0.129
O5 0.163 0.711 0.379
O6 0.171 0.735 0.873
O7 0.173 0.972 0.635
O8 0.200 0.173 0.135
O9 0.265 0.437 0.873
O10 0.289 0.452 0.379
O11 0.333 0.667 0.612
O12 0.378 0.902 0.129
O13 0.437 0.171 0.373
O14 0.452 0.163 0.879
O15 0.476 0.378 0.629
O16 0.524 0.622 0.129
O17 0.548 0.837 0.379
O18 0.563 0.829 0.873
O19 0.622 0.098 0.629
O20 0.667 0.333 0.112
O21 0.711 0.548 0.879
O22 0.735 0.563 0.373
O23 0.800 0.827 0.635
O24 0.827 0.028 0.135
O25 0.829 0.265 0.373
O26 0.837 0.289 0.879
O27 0.902 0.524 0.629
O28 0.972 0.800 0.135

Most intense lines, 10° ≤ 2θ ≤ 90°, low angle first:
d/Å  2theta  Rel. int.
3.974  22.4  22.9
3.676  24.2  27.9
2.918  30.6  12.7
2.803  31.9  56.3
2.503  35.9  17.6
2.291  39.3  100.0
2.024  44.8  37.8
1.770  51.6  15.4
1.552  59.6  35.8
1.502  61.8  56.5

=====

Entry 5:
# NaDyGe2
Computed powder X-ray diffraction pattern, Cu Kα X-rays. Input: a crystal structure in Alexandria, relaxed with GGA-PBE.

Cell and atoms:
Lattice parameters (Å, degrees): 4.490 4.490 4.213 90.00 90.00 90.00
Element x y z (fractional)
Na1 0.000 0.000 0.000
Dy1 0.500 0.500 0.000
Ge1 0.000 0.500 0.500
Ge2 0.500 0.000 0.500

Most intense lines, 10° ≤ 2θ ≤ 90°, low angle first:
d/Å  2theta  Rel. int.
4.490  19.8  34.8
3.073  29.1  27.2
2.536  35.4  100.0
2.245  40.2  35.2
2.107  42.9  14.5
1.813  50.3  12.2
1.588  58.1  11.7
1.536  60.2  21.0
1.346  69.9  26.7
1.284  73.8  11.4

=====

Entry 6:
# V3Co3C
Computed powder X-ray diffraction pattern, Cu Kα X-rays. Input: a crystal structure in Alexandria, relaxed with GGA-PBE.

Cell and atoms:
Lattice parameters (Å, degrees): 7.572 7.572 7.572 60.00 60.00 60.00
Element x y z (fractional)
V1 0.069 0.069 0.681
V2 0.069 0.681 0.069
V3 0.069 0.681 0.681
V4 0.319 0.319 0.931
V5 0.319 0.931 0.319
V6 0.319 0.931 0.931
V7 0.681 0.069 0.069
V8 0.681 0.069 0.681
V9 0.681 0.681 0.069
V10 0.931 0.319 0.319
V11 0.931 0.319 0.931
V12 0.931 0.931 0.319
Co1 0.000 0.500 0.500
Co2 0.291 0.291 0.291
Co3 0.291 0.291 0.626
Co4 0.291 0.626 0.291
Co5 0.374 0.709 0.709
Co6 0.500 0.000 0.500
Co7 0.500 0.500 0.000
Co8 0.500 0.500 0.500
Co9 0.626 0.291 0.291
Co10 0.709 0.374 0.709
Co11 0.709 0.709 0.374
Co12 0.709 0.709 0.709
C1 0.000 0.000 0.000
C2 0.000 0.000 0.500
C3 0.000 0.500 0.000
C4 0.500 0.000 0.000

Most intense lines, 10° ≤ 2θ ≤ 90°, low angle first:
d/Å  2theta  Rel. int.
6.182  14.3  20.5
2.457  36.6  5.4
2.186  41.3  26.8
2.061  43.9  100.0
1.893  48.1  34.5
1.785  51.2  12.8
1.614  57.1  6.8
1.262  75.3  24.6
1.236  77.1  6.9
1.168  82.6  5.7

=====

Entry 7:
# Ca2AgPtAu6
Computed powder X-ray diffraction pattern, Cu Kα X-rays. Input: a crystal structure in Alexandria, relaxed with GGA-PBE.

Cell and atoms:
Lattice parameters (Å, degrees): 7.235 7.235 7.235 60.00 60.00 60.00
Element x y z (fractional)
Ca1 0.250 0.250 0.250
Ca2 0.750 0.750 0.750
Ag1 0.000 0.000 0.000
Pt1 0.500 0.500 0.500
Au1 0.251 0.251 0.749
Au2 0.251 0.749 0.251
Au3 0.251 0.749 0.749
Au4 0.749 0.251 0.251
Au5 0.749 0.251 0.749
Au6 0.749 0.749 0.251

Most intense lines, 10° ≤ 2θ ≤ 90°, low angle first:
d/Å  2theta  Rel. int.
5.116  17.3  82.9
2.954  30.3  74.0
2.558  35.1  100.0
2.288  39.4  44.7
1.809  50.5  71.7
1.705  53.8  23.0
1.542  60.0  32.7
1.477  62.9  24.6
1.174  82.1  13.9
1.144  84.7  33.5

=====

Entry 8:
# NaHgGeAu
Computed powder X-ray diffraction pattern, Cu Kα X-rays. Input: a crystal structure in Alexandria, relaxed with GGA-PBE.

Cell and atoms:
Lattice parameters (Å, degrees): 3.556 3.556 7.287 90.58 90.58 89.76
Element x y z (fractional)
Na1 0.000 0.000 0.000
Hg1 0.494 0.494 0.727
Ge1 0.509 0.509 0.302
Au1 0.009 0.009 0.430

Most intense lines, 10° ≤ 2θ ≤ 90°, low angle first:
d/Å  2theta  Rel. int.
7.286  12.1  100.0
3.208  27.8  41.8
3.183  28.0  33.4
2.558  35.1  71.3
2.532  35.5  71.1
2.519  35.6  45.3
2.509  35.8  45.1
2.372  37.9  23.4
1.778  51.4  32.1
1.452  64.1  25.8